Li4FeB2O6: computed powder diffractogram (Cu Kα), based on a structure optimized by DFT (GGA+U).
Neutral-atom scattering factors, no anomalous dispersion.

Structural model:
```
Li4FeB2O6
1.0
3.319 0.000 0.000
0.174 7.960 0.000
0.020 0.000 9.385
Li Fe B O
8 2 4 12
Direct
0.001 0.167 0.059 Li
0.013 0.501 0.294 Li
0.491 0.999 0.794 Li
0.498 0.333 0.559 Li
0.502 0.667 0.441 Li
0.509 0.001 0.206 Li
0.987 0.499 0.706 Li
0.999 0.833 0.941 Li
0.000 0.000 0.500 Fe
0.500 0.500 0.000 Fe
0.015 0.764 0.198 B
0.485 0.737 0.698 B
0.515 0.263 0.302 B
0.985 0.236 0.802 B
0.001 0.254 0.655 O
0.016 0.918 0.135 O
0.027 0.617 0.111 O
0.476 0.883 0.611 O
0.481 0.582 0.635 O
0.496 0.245 0.155 O
0.504 0.755 0.845 O
0.519 0.418 0.365 O
0.524 0.117 0.389 O
0.973 0.383 0.889 O
0.984 0.082 0.865 O
0.999 0.746 0.345 O
```

The 6 most intense peaks (10 to 90 degrees two-theta), in order of rising 2θ:
- (0 1 1), 2θ 14.6, I 100.0
- (0 2 -2), 2θ 29.4, I 47.7
- (1 1 -1), 2θ 30.5, I 32.1
- (0 1 -3), 2θ 30.7, I 40.4
- (-1 1 1), 2θ 30.9, I 29.4
- (1 -1 2), 2θ 35.2, I 31.1